Structure and calculated X-ray powder pattern of Co5AgSe8 (a crystal structure in Alexandria, relaxed with PBE; copper Kα).
Lines closer than 0.1° are merged.

Structure:
Unit cell a=9.446 b=9.446 c=8.022 alpha=105.70 beta=105.70 gamma=21.63
Element x y z (fractional)
Co 0.000 0.000 0.000
Co 0.041 0.041 0.340
Co 0.355 0.355 0.287
Co 0.404 0.404 0.624
Co 0.701 0.701 0.321
Ag 0.243 0.243 0.826
Se 0.127 0.127 0.174
Se 0.268 0.268 0.496
Se 0.462 0.462 0.164
Se 0.524 0.524 0.826
Se 0.615 0.615 0.500
Se 0.779 0.779 0.129
Se 0.880 0.880 0.801
Se 0.936 0.936 0.461

Most intense lines, 10° ≤ 2θ ≤ 90°, low angle first:
| two_theta | Rel. int. |
| --- | --- |
| 32.57 | 37 |
| 33.12 | 100 |
| 34.88 | 77 |
| 35.21 | 20 |
| 39.53 | 18 |
| 42.72 | 31 |
| 49.53 | 24 |
| 51.27 | 39 |
| 51.57 | 35 |
| 52.49 | 21 |